This entry pairs a crystal structure of Sr2Bi2Se3O2 with its computed powder XRD pattern. Radiation: Cu Kα X-rays. Structure: a structure optimized by DFT (PBE).

Largest 10 diffraction maxima, sorted by position, 10 to 80 degrees two-theta:
2θ 15.50, d = 5.718 Å, rel. 22; 2θ 18.55, d = 4.784 Å, rel. 28; 2θ 27.67, d = 3.224 Å, rel. 73; 2θ 29.13, d = 3.065 Å, rel. 100; 2θ 31.93, d = 2.803 Å, rel. 47; 2θ 34.92, d = 2.569 Å, rel. 74; 2θ 41.05, d = 2.199 Å, rel. 23; 2θ 43.77, d = 2.068 Å, rel. 26; 2θ 45.71, d = 1.985 Å, rel. 22; 2θ 52.57, d = 1.741 Å, rel. 31

```
data_Sr2Bi2Se3O2
_chemical_formula_sum 'Sr2 Bi2 Se3 O2'
_cell_length_a 7.186
_cell_length_b 7.186
_cell_length_c 9.723
_cell_angle_alpha 122.20
_cell_angle_beta 122.20
_cell_angle_gamma 33.45
_space_group_name_H-M_alt 'P 1'
_space_group_IT_number 1
loop_
_space_group_symop_operation_xyz
'x,y,z'
loop_
_atom_site_label
_atom_site_fract_x
_atom_site_fract_y
_atom_site_fract_z
_atom_site_occupancy
Sr1 0.107 0.107 0.396 1
Sr2 0.893 0.893 0.604 1
Bi1 0.309 0.309 0.863 1
Bi2 0.691 0.691 0.137 1
Se1 0.000 0.000 0.000 1
Se2 0.370 0.370 0.283 1
Se3 0.630 0.630 0.717 1
O1 0.313 0.313 0.646 1
O2 0.687 0.687 0.354 1
```